Starting from a cell relaxed with PBE, the X-ray diffraction stick pattern of BaNaLaSeO6 was simulated for Cu Kα.
Lines closer than 0.1° are merged.

Cell and atoms:
```
10
Lattice="0.000 4.184 4.184 4.184 0.000 4.184 4.184 4.184 0.000" Properties=species:S:1:pos:R:3 pbc="T T T"
Ba 0.000 0.000 0.000
Na 4.184 4.184 4.184
La 2.092 2.092 2.092
Se 6.275 6.275 6.275
O 6.275 6.275 4.434
O 6.275 4.434 6.275
O 8.117 6.275 6.275
O 4.434 6.275 6.275
O 6.275 8.117 6.275
O 6.275 6.275 8.117
```

Top 12 peaks for 5° ≤ 2θ ≤ 70°, by angle:
d [Å], Rel. int.
4.831, 24.1
4.184, 10.3
2.958, 100.0
2.523, 16.8
2.092, 33.0
1.920, 9.0
1.871, 3.2
1.708, 38.4
1.610, 5.4
1.479, 19.5
1.414, 5.0
1.395, 1.4

***

Starting from a cell relaxed with PBE, the X-ray diffraction stick pattern of Ba2NaLaTi4O12 was simulated for Cu Kα.
Lines closer than 0.1° are merged.

Cell and atoms:
```
20
Lattice="-2.813 2.813 7.935 2.813 -2.813 7.935 2.813 2.813 -7.935" Properties=species:S:1:pos:R:3 pbc="T T T"
Ba 0.000 0.000 3.927
Ba 0.000 0.000 11.942
Na 0.000 0.000 0.000
La 0.000 0.000 7.935
Ti 2.813 0.000 1.930
Ti 2.813 0.000 6.005
Ti 0.000 2.813 1.930
Ti 0.000 2.813 6.005
O 2.813 0.000 0.000
O 1.443 1.443 -1.893
O 1.370 -1.370 6.042
O 2.813 0.000 3.967
O 1.443 1.443 1.893
O 1.370 -1.370 9.827
O 0.000 2.813 0.000
O 1.443 4.182 -1.893
O 1.370 1.370 6.042
O 0.000 2.813 3.967
O -1.370 1.370 9.827
O 1.370 1.370 9.827
```

Top 12 peaks for 5° ≤ 2θ ≤ 70°, by angle:
d [Å], Rel. int.
7.935, 4.5
5.302, 13.5
3.974, 9.9
3.854, 7.4
3.556, 5.0
2.810, 100.0
2.295, 23.0
1.989, 25.5
1.984, 12.3
1.623, 38.1
1.406, 7.4
1.405, 14.3

***

Starting from a cell relaxed with PBE, the X-ray diffraction stick pattern of Ba2LaNbO6 was simulated for Cu Kα.
Lines closer than 0.1° are merged.

Cell and atoms:
```
10
Lattice="5.312 -3.076 0.000 5.312 3.076 0.000 -3.566 0.000 5.098" Properties=species:S:1:pos:R:3 pbc="T T T"
Ba 1.765 0.000 1.215
Ba 5.294 0.000 3.883
La -1.783 0.000 2.549
Nb 5.312 0.000 0.000
O 4.231 1.430 0.960
O 0.384 0.000 3.585
O 2.827 1.430 4.137
O 4.231 -1.430 0.960
O 6.675 0.000 1.513
O 2.827 -1.430 4.137
```

Top 12 peaks for 5° ≤ 2θ ≤ 70°, by angle:
d [Å], Rel. int.
3.105, 100.0
3.071, 99.6
2.187, 38.7
2.177, 18.0
1.801, 14.2
1.796, 8.0
1.781, 28.0
1.776, 28.7
1.551, 11.2
1.535, 11.1
1.387, 11.9
1.378, 12.3

***

Starting from a cell relaxed with PBE, the X-ray diffraction stick pattern of Ba2LaNbO6 was simulated for Cu Kα.
Lines closer than 0.1° are merged.

Cell and atoms:
```
40
Lattice="8.761 0.000 0.000 0.000 8.761 0.000 0.000 0.000 8.761" Properties=species:S:1:pos:R:3 pbc="T T T"
Ba 2.190 2.190 2.190
Ba 2.190 2.190 6.571
Ba 2.190 6.571 2.190
Ba 2.190 6.571 6.571
Ba 6.571 2.190 2.190
Ba 6.571 2.190 6.571
Ba 6.571 6.571 2.190
Ba 6.571 6.571 6.571
La 0.000 0.000 0.000
La 0.000 4.381 4.381
La 4.381 0.000 4.381
La 4.381 4.381 0.000
Nb 0.000 0.000 4.381
Nb 0.000 4.381 0.000
Nb 4.381 0.000 0.000
Nb 4.381 4.381 4.381
O 0.206 4.614 6.750
O 0.206 8.528 6.392
O 0.233 2.011 4.586
O 0.233 2.370 8.556
O 2.011 4.586 0.233
O 2.011 8.556 4.147
O 2.370 4.586 4.147
O 2.370 8.556 0.233
O 4.147 2.011 8.556
O 4.147 2.370 4.586
O 4.175 4.614 6.392
O 4.175 8.528 6.750
O 4.586 0.233 2.011
O 4.586 4.147 2.370
O 4.614 6.392 4.175
O 4.614 6.750 0.206
O 6.392 0.206 8.528
O 6.392 4.175 4.614
O 6.750 0.206 4.614
O 6.750 4.175 8.528
O 8.528 6.392 0.206
O 8.528 6.750 4.175
O 8.556 0.233 2.370
O 8.556 4.147 2.011
```

Top 9 peaks for 5° ≤ 2θ ≤ 70°, by angle:
d [Å], Rel. int.
5.058, 0.7
3.098, 100.0
2.642, 1.3
2.529, 2.5
2.190, 29.0
2.010, 0.9
1.788, 42.2
1.549, 17.7
1.385, 18.4